# Y3ScCo8
Calculated XRD peak list, Cu Kα (λ = 1.5418 Å). Input: a crystal structure in Alexandria, relaxed with GGA-PBE.
Intensities are scaled so that the largest is 100.

Cell and atoms:
```
data_Y3ScCo8
_chemical_formula_sum 'Y9 Sc3 Co24'
_space_group_name_H-M_alt 'R 3 m'
_space_group_IT_number 160
_space_group_name_Hall 'R 3 -2"'
_cell_length_a 5.0324
_cell_length_b 5.0324
_cell_length_c 24.6881
_cell_angle_alpha 90.00
_cell_angle_beta 90.00
_cell_angle_gamma 120.00
loop_
_atom_site_label
_atom_site_type_symbol
_atom_site_fract_x
_atom_site_fract_y
_atom_site_fract_z
_atom_site_occupancy
Y1 Y 0.0000 0.0000 0.0000 1
Y2 Y 0.0000 0.0000 0.1262 1
Y3 Y 0.0000 0.0000 0.6231 1
Sc1 Sc 0.0000 0.0000 0.4994 1
Co1 Co 0.0000 0.0000 0.3122 1
Co2 Co 0.0000 0.0000 0.8129 1
Co3 Co 0.0034 0.5017 0.0639 1
Co4 Co 0.1674 0.3348 0.8940 1
```

Main lines, in order of rising 2θ (2θ = 15–90°):
(1 0 1), 20.70 deg, rel. 1
(0 0 6), 21.62 deg, rel. 1
(1 0 4), 25.01 deg, rel. 1
(0 1 5), 27.29 deg, rel. 1
(1 1 0), 35.67 deg, rel. 36
(2 0 2), 42.09 deg, rel. 100
(0 2 4), 44.06 deg, rel. 32
(2 0 8), 51.33 deg, rel. 2
(3 0 0), 64.07 deg, rel. 12
(3 0 6), 68.47 deg, rel. 28
(2 2 0), 75.54 deg, rel. 23
(2 1 16), 86.44 deg, rel. 5

=====

# Sc8Zn2Co
Calculated XRD peak list, Cu Kα (λ = 1.5418 Å). Input: a crystal structure in Alexandria, relaxed with GGA-PBE.
Intensities are scaled so that the largest is 100.

Cell and atoms:
```
data_Sc8Zn2Co
_chemical_formula_sum 'Sc16 Zn4 Co2'
_space_group_name_H-M_alt 'C 1 m 1'
_space_group_IT_number 8
_cell_length_a 6.9327
_cell_length_b 14.5184
_cell_length_c 5.6252
_cell_angle_alpha 90.00
_cell_angle_beta 123.26
_cell_angle_gamma 90.00
loop_
_space_group_symop_operation_xyz
'x,y,z'
'x,-y,z'
'x+1/2,y+1/2,z'
'x+1/2,-y+1/2,z'
loop_
_atom_site_label
_atom_site_type_symbol
_atom_site_fract_x
_atom_site_fract_y
_atom_site_fract_z
_atom_site_occupancy
Sc1 Sc 0.0000 0.0000 0.0000 1
Sc2 Sc 0.0036 0.1135 0.4828 1
Sc3 Sc 0.0404 0.3883 0.8436 1
Sc4 Sc 0.0514 0.5000 0.3651 1
Sc5 Sc 0.2751 0.1941 0.1465 1
Zn1 Zn 0.2669 0.2840 0.6529 1
Co1 Co 0.2668 0.0000 0.8587 1
```

Main lines, in order of rising 2θ (2θ = 15–90°):
(0 0 1), 18.87 deg, rel. 22
(1 1 -2), 32.89 deg, rel. 15
(2 2 0), 33.28 deg, rel. 42
(2 0 -2), 33.40 deg, rel. 29
(1 5 -1), 35.14 deg, rel. 100
(1 3 1), 35.67 deg, rel. 99
(2 4 -1), 35.88 deg, rel. 40
(2 4 0), 39.80 deg, rel. 26
(0 2 2), 40.31 deg, rel. 41
(3 1 -2), 41.58 deg, rel. 25
(3 3 -1), 43.89 deg, rel. 28
(4 0 0), 64.27 deg, rel. 19

=====

# ScZn9Co3
Calculated XRD peak list, Cu Kα (λ = 1.5418 Å). Input: a crystal structure in Alexandria, relaxed with GGA-PBE.
Intensities are scaled so that the largest is 100.

Cell and atoms:
```
data_ScZn9Co3
_chemical_formula_sum 'Sc2 Zn18 Co6'
_space_group_name_H-M_alt 'C 1 2/m 1'
_space_group_IT_number 12
_cell_length_a 5.0036
_cell_length_b 12.1167
_cell_length_c 6.5478
_cell_angle_alpha 90.00
_cell_angle_beta 111.49
_cell_angle_gamma 90.00
loop_
_space_group_symop_operation_xyz
'x,y,z'
'-x,-y,-z'
'-x,y,-z'
'x,-y,z'
'x+1/2,y+1/2,z'
'-x+1/2,-y+1/2,-z'
'-x+1/2,y+1/2,-z'
'x+1/2,-y+1/2,z'
loop_
_atom_site_label
_atom_site_type_symbol
_atom_site_fract_x
_atom_site_fract_y
_atom_site_fract_z
_atom_site_occupancy
Sc1 Sc 0.0000 0.0000 0.0000 1
Zn1 Zn 0.0000 0.5000 0.5000 1
Zn2 Zn 0.1123 0.3901 0.2155 1
Zn3 Zn 0.1504 0.1716 0.3327 1
Co1 Co 0.0000 0.0000 0.5000 1
Co2 Co 0.2500 0.2500 0.0000 1
```

Main lines, in order of rising 2θ (2θ = 15–90°):
(0 2 1), 20.67 deg, rel. 19
(2 0 -1), 35.93 deg, rel. 33
(1 3 -2), 36.33 deg, rel. 16
(2 2 0), 41.59 deg, rel. 35
(0 4 2), 42.05 deg, rel. 100
(1 1 -3), 42.17 deg, rel. 36
(2 0 1), 46.59 deg, rel. 25
(2 4 -1), 47.15 deg, rel. 62
(2 0 -3), 47.43 deg, rel. 46
(2 6 2), 76.24 deg, rel. 15
(1 3 -5), 76.94 deg, rel. 10
(2 6 -4), 77.14 deg, rel. 14

=====

# Co5Se4
Calculated XRD peak list, Cu Kα (λ = 1.5418 Å). Input: a crystal structure in Alexandria, relaxed with GGA-PBE.
Intensities are scaled so that the largest is 100.

Cell and atoms:
```
data_Co5Se4
_chemical_formula_sum 'Co10 Se8'
_space_group_name_H-M_alt 'P 63/m c m'
_space_group_IT_number 193
_space_group_name_Hall '-P 6c 2'
_cell_length_a 7.4233
_cell_length_b 7.4233
_cell_length_c 5.2519
_cell_angle_alpha 90.00
_cell_angle_beta 90.00
_cell_angle_gamma 120.00
loop_
_atom_site_label
_atom_site_type_symbol
_atom_site_fract_x
_atom_site_fract_y
_atom_site_fract_z
_atom_site_occupancy
Co1 Co 0.0000 0.3172 0.2500 1
Co2 Co 0.3333 0.6667 0.0000 1
Se1 Se 0.0000 0.0000 0.0000 1
Se2 Se 0.0000 0.3775 0.7500 1
```

Main lines, in order of rising 2θ (2θ = 15–90°):
(2 0 0), 27.75 deg, rel. 3
(0 0 2), 34.14 deg, rel. 5
(2 1 1), 40.92 deg, rel. 8
(3 0 0), 42.16 deg, rel. 100
(3 1 1), 54.34 deg, rel. 6
(3 0 2), 55.33 deg, rel. 4
(2 2 2), 61.15 deg, rel. 13
(2 1 3), 65.75 deg, rel. 3
(0 0 4), 71.91 deg, rel. 4
(3 3 0), 77.08 deg, rel. 18
(4 2 1), 81.28 deg, rel. 4
(3 0 4), 87.04 deg, rel. 11

=====

# Sm5CoSe4
Calculated XRD peak list, Cu Kα (λ = 1.5418 Å). Input: a crystal structure in Alexandria, relaxed with GGA-PBE.
Intensities are scaled so that the largest is 100.

Cell and atoms:
```
data_Sm5CoSe4
_chemical_formula_sum 'Sm10 Co2 Se8'
_space_group_name_H-M_alt 'I 4/m'
_space_group_IT_number 87
_space_group_name_Hall '-I 4'
_cell_length_a 9.2733
_cell_length_b 9.2733
_cell_length_c 5.9345
_cell_angle_alpha 90.00
_cell_angle_beta 90.00
_cell_angle_gamma 90.00
loop_
_atom_site_label
_atom_site_type_symbol
_atom_site_fract_x
_atom_site_fract_y
_atom_site_fract_z
_atom_site_occupancy
Sm1 Sm 0.0000 0.0000 0.0000 1
Sm2 Sm 0.0939 0.2758 0.5000 1
Co1 Co 0.0000 0.0000 0.5000 1
Se1 Se 0.0919 0.3059 0.0000 1
```

Main lines, in order of rising 2θ (2θ = 15–90°):
(2 1 1), 26.22 deg, rel. 31
(0 0 2), 30.12 deg, rel. 54
(1 3 0), 30.48 deg, rel. 100
(1 3 2), 43.38 deg, rel. 76
(4 2 0), 43.65 deg, rel. 34
(4 2 2), 53.95 deg, rel. 37
(2 6 0), 63.44 deg, rel. 10
(1 3 4), 71.23 deg, rel. 17
(2 6 2), 71.81 deg, rel. 13
(7 1 0), 72.01 deg, rel. 12
(4 2 4), 79.41 deg, rel. 14
(7 1 2), 79.99 deg, rel. 19

=====

# Ta11Co2Se8
Calculated XRD peak list, Cu Kα (λ = 1.5418 Å). Input: a crystal structure in Alexandria, relaxed with GGA-PBE.
Intensities are scaled so that the largest is 100.

Cell and atoms:
```
data_Ta11Co2Se8
_chemical_formula_sum 'Ta22 Co4 Se16'
_space_group_name_H-M_alt 'P n n m'
_space_group_IT_number 58
_cell_length_a 12.2009
_cell_length_b 19.6279
_cell_length_c 3.4341
_cell_angle_alpha 90.00
_cell_angle_beta 90.00
_cell_angle_gamma 90.00
loop_
_space_group_symop_operation_xyz
'x,y,z'
'-x,-y,-z'
'-x,-y,z'
'x,y,-z'
'x+1/2,-y+1/2,-z+1/2'
'-x+1/2,y+1/2,z+1/2'
'-x+1/2,y+1/2,-z+1/2'
'x+1/2,-y+1/2,z+1/2'
loop_
_atom_site_label
_atom_site_type_symbol
_atom_site_fract_x
_atom_site_fract_y
_atom_site_fract_z
_atom_site_occupancy
Ta1 Ta 0.0000 0.0000 0.0000 1
Ta2 Ta 0.0574 0.2421 0.0000 1
Ta3 Ta 0.0636 0.1157 0.5000 1
Ta4 Ta 0.1492 0.7882 0.5000 1
Ta5 Ta 0.1766 0.3533 0.5000 1
Ta6 Ta 0.1779 0.9467 0.5000 1
Co1 Co 0.0916 0.8717 0.0000 1
Se1 Se 0.0372 0.6747 0.5000 1
Se2 Se 0.1117 0.4457 0.0000 1
Se3 Se 0.2060 0.0547 0.0000 1
Se4 Se 0.2195 0.2143 0.5000 1
```

Main lines, in order of rising 2θ (2θ = 15–90°):
(1 4 1), 32.66 deg, rel. 53
(3 0 1), 34.17 deg, rel. 40
(1 5 1), 35.50 deg, rel. 100
(3 3 1), 36.91 deg, rel. 51
(4 5 0), 37.34 deg, rel. 34
(2 5 1), 37.80 deg, rel. 38
(5 2 0), 38.00 deg, rel. 35
(3 7 0), 38.99 deg, rel. 53
(4 2 1), 40.61 deg, rel. 76
(0 7 1), 41.58 deg, rel. 32
(1 9 0), 42.09 deg, rel. 24
(0 0 2), 53.36 deg, rel. 42

=====

# Tb3CoSe
Calculated XRD peak list, Cu Kα (λ = 1.5418 Å). Input: a crystal structure in Alexandria, relaxed with GGA-PBE.
Intensities are scaled so that the largest is 100.

Cell and atoms:
```
data_Tb3CoSe
_chemical_formula_sum 'Tb6 Co2 Se2'
_space_group_name_H-M_alt 'P 1 21/m 1'
_space_group_IT_number 11
_cell_length_a 7.8824
_cell_length_b 3.8327
_cell_length_c 8.3194
_cell_angle_alpha 90.00
_cell_angle_beta 106.40
_cell_angle_gamma 90.00
loop_
_space_group_symop_operation_xyz
'x,y,z'
'-x,-y,-z'
'-x,y+1/2,-z'
'x,-y+1/2,z'
loop_
_atom_site_label
_atom_site_type_symbol
_atom_site_fract_x
_atom_site_fract_y
_atom_site_fract_z
_atom_site_occupancy
Tb1 Tb 0.0741 0.2500 0.2466 1
Tb2 Tb 0.3082 0.2500 0.9409 1
Tb3 Tb 0.3264 0.7500 0.5964 1
Co1 Co 0.0601 0.2500 0.5800 1
Se1 Se 0.3840 0.7500 0.2418 1
```

Main lines, in order of rising 2θ (2θ = 15–90°):
(2 0 -2), 27.54 deg, rel. 19
(1 1 1), 29.71 deg, rel. 100
(1 0 -3), 32.37 deg, rel. 81
(2 1 -1), 32.91 deg, rel. 44
(2 1 0), 33.29 deg, rel. 38
(3 0 0), 35.62 deg, rel. 33
(2 1 -2), 36.32 deg, rel. 78
(1 1 2), 36.74 deg, rel. 19
(1 0 3), 38.93 deg, rel. 22
(1 1 -3), 40.21 deg, rel. 29
(0 2 0), 47.44 deg, rel. 36
(1 2 -3), 58.60 deg, rel. 21

=====

# CoTc2Se5
Calculated XRD peak list, Cu Kα (λ = 1.5418 Å). Input: a crystal structure in Alexandria, relaxed with GGA-PBE.
Intensities are scaled so that the largest is 100.

Cell and atoms:
```
data_CoTc2Se5
_chemical_formula_sum 'Co2 Tc4 Se10'
_space_group_name_H-M_alt 'C 1 m 1'
_space_group_IT_number 8
_cell_length_a 11.5469
_cell_length_b 6.9415
_cell_length_c 5.5522
_cell_angle_alpha 90.00
_cell_angle_beta 117.20
_cell_angle_gamma 90.00
loop_
_space_group_symop_operation_xyz
'x,y,z'
'x,-y,z'
'x+1/2,y+1/2,z'
'x+1/2,-y+1/2,z'
loop_
_atom_site_label
_atom_site_type_symbol
_atom_site_fract_x
_atom_site_fract_y
_atom_site_fract_z
_atom_site_occupancy
Co1 Co 0.0000 0.0000 0.0000 1
Tc1 Tc 0.3913 0.0000 0.8244 1
Tc2 Tc 0.4995 0.5000 0.4686 1
Se1 Se 0.0508 0.2591 0.7997 1
Se2 Se 0.1952 0.0000 0.4281 1
Se3 Se 0.3689 0.2729 0.0788 1
```

Main lines, in order of rising 2θ (2θ = 15–90°):
(1 1 0), 15.41 deg, rel. 100
(2 0 0), 17.27 deg, rel. 95
(0 0 1), 17.96 deg, rel. 35
(1 1 -1), 20.49 deg, rel. 77
(2 0 1), 30.31 deg, rel. 46
(4 0 -1), 31.06 deg, rel. 44
(0 2 1), 31.51 deg, rel. 38
(2 2 -1), 31.75 deg, rel. 48
(2 2 -2), 41.67 deg, rel. 61
(1 1 2), 43.43 deg, rel. 31
(4 2 0), 43.86 deg, rel. 29
(4 2 -2), 45.78 deg, rel. 59

=====

# CoTe2Se
Calculated XRD peak list, Cu Kα (λ = 1.5418 Å). Input: a crystal structure in Alexandria, relaxed with GGA-PBE.
Intensities are scaled so that the largest is 100.

Cell and atoms:
```
data_CoTe2Se
_chemical_formula_sum 'Co4 Te8 Se4'
_space_group_name_H-M_alt 'I -4 2 d'
_space_group_IT_number 122
_space_group_name_Hall 'I -4 2bw'
_cell_length_a 6.3036
_cell_length_b 6.3036
_cell_length_c 11.3921
_cell_angle_alpha 90.00
_cell_angle_beta 90.00
_cell_angle_gamma 90.00
loop_
_atom_site_label
_atom_site_type_symbol
_atom_site_fract_x
_atom_site_fract_y
_atom_site_fract_z
_atom_site_occupancy
Co1 Co 0.0000 0.0000 0.0000 1
Te1 Te 0.1768 0.2500 0.1250 1
Se1 Se 0.0000 0.0000 0.5000 1
```

Main lines, in order of rising 2θ (2θ = 15–90°):
(1 0 1), 16.07 deg, rel. 8
(1 1 2), 25.37 deg, rel. 100
(2 1 1), 32.73 deg, rel. 21
(2 1 3), 39.83 deg, rel. 10
(2 2 0), 40.47 deg, rel. 17
(2 0 4), 42.79 deg, rel. 41
(3 0 1), 43.81 deg, rel. 6
(3 1 2), 48.38 deg, rel. 18
(1 1 6), 52.38 deg, rel. 13
(3 2 1), 52.99 deg, rel. 8
(3 2 3), 58.08 deg, rel. 8
(3 1 6), 68.21 deg, rel. 6

=====

# TlCo4Se8
Calculated XRD peak list, Cu Kα (λ = 1.5418 Å). Input: a crystal structure in Alexandria, relaxed with GGA-PBE.
Intensities are scaled so that the largest is 100.

Cell and atoms:
```
data_TlCo4Se8
_chemical_formula_sum 'Tl2 Co8 Se16'
_space_group_name_H-M_alt 'C 1 2/m 1'
_space_group_IT_number 12
_cell_length_a 11.8907
_cell_length_b 6.8598
_cell_length_c 8.8160
_cell_angle_alpha 90.00
_cell_angle_beta 116.76
_cell_angle_gamma 90.00
loop_
_space_group_symop_operation_xyz
'x,y,z'
'-x,-y,-z'
'-x,y,-z'
'x,-y,z'
'x+1/2,y+1/2,z'
'-x+1/2,-y+1/2,-z'
'-x+1/2,y+1/2,-z'
'x+1/2,-y+1/2,z'
loop_
_atom_site_label
_atom_site_type_symbol
_atom_site_fract_x
_atom_site_fract_y
_atom_site_fract_z
_atom_site_occupancy
Tl1 Tl 0.0000 0.0000 0.0000 1
Co1 Co 0.0000 0.0000 0.5000 1
Co2 Co 0.0000 0.5000 0.5000 1
Co3 Co 0.2500 0.2500 0.5000 1
Se1 Se 0.0282 0.2491 0.3337 1
Se2 Se 0.2231 0.0000 0.6692 1
Se3 Se 0.2227 0.5000 0.6663 1
```

Main lines, in order of rising 2θ (2θ = 15–90°):
(1 1 0), 15.37 deg, rel. 30
(2 0 0), 16.70 deg, rel. 24
(1 1 1), 21.21 deg, rel. 14
(3 1 0), 28.38 deg, rel. 14
(4 0 0), 33.77 deg, rel. 100
(2 2 1), 35.70 deg, rel. 19
(4 0 1), 40.45 deg, rel. 28
(2 2 2), 43.20 deg, rel. 18
(2 2 3), 52.59 deg, rel. 13
(0 4 0), 53.40 deg, rel. 35
(2 2 4), 63.41 deg, rel. 15
(4 4 0), 64.70 deg, rel. 15

=====

# Tl2Co3Se6
Calculated XRD peak list, Cu Kα (λ = 1.5418 Å). Input: a crystal structure in Alexandria, relaxed with GGA-PBE.
Intensities are scaled so that the largest is 100.

Cell and atoms:
```
data_Tl2Co3Se6
_chemical_formula_sum 'Tl4 Co6 Se12'
_space_group_name_H-M_alt 'C 1 2/m 1'
_space_group_IT_number 12
_cell_length_a 6.2560
_cell_length_b 10.8741
_cell_length_c 7.5896
_cell_angle_alpha 90.00
_cell_angle_beta 106.16
_cell_angle_gamma 90.00
loop_
_space_group_symop_operation_xyz
'x,y,z'
'-x,-y,-z'
'-x,y,-z'
'x,-y,z'
'x+1/2,y+1/2,z'
'-x+1/2,-y+1/2,-z'
'-x+1/2,y+1/2,-z'
'x+1/2,-y+1/2,z'
loop_
_atom_site_label
_atom_site_type_symbol
_atom_site_fract_x
_atom_site_fract_y
_atom_site_fract_z
_atom_site_occupancy
Tl1 Tl 0.0000 0.1657 0.0000 1
Co1 Co 0.0000 0.0000 0.5000 1
Co2 Co 0.0000 0.3300 0.5000 1
Se1 Se 0.2214 0.1666 0.6625 1
Se2 Se 0.2222 0.5000 0.6645 1
```

Main lines, in order of rising 2θ (2θ = 15–90°):
(1 1 0), 16.86 deg, rel. 16
(1 1 -1), 18.24 deg, rel. 12
(2 0 -1), 28.78 deg, rel. 14
(1 3 1), 32.95 deg, rel. 100
(1 3 -2), 35.19 deg, rel. 24
(0 0 3), 36.99 deg, rel. 15
(1 3 -3), 43.90 deg, rel. 14
(0 6 0), 50.35 deg, rel. 14
(3 3 -1), 50.49 deg, rel. 25
(2 0 -4), 50.92 deg, rel. 16
(2 6 -2), 61.49 deg, rel. 11
(0 6 3), 64.11 deg, rel. 11

=====

# U3Tl3CoSe8
Calculated XRD peak list, Cu Kα (λ = 1.5418 Å). Input: a crystal structure in Alexandria, relaxed with GGA-PBE.
Intensities are scaled so that the largest is 100.

Cell and atoms:
```
data_U3Tl3CoSe8
_chemical_formula_sum 'U9 Tl9 Co3 Se24'
_space_group_name_H-M_alt 'R -3 m'
_space_group_IT_number 166
_space_group_name_Hall '-R 3 2"'
_cell_length_a 7.9694
_cell_length_b 7.9694
_cell_length_c 24.0968
_cell_angle_alpha 90.00
_cell_angle_beta 90.00
_cell_angle_gamma 120.00
loop_
_atom_site_label
_atom_site_type_symbol
_atom_site_fract_x
_atom_site_fract_y
_atom_site_fract_z
_atom_site_occupancy
U1 U 0.0000 0.5000 0.0000 1
Tl1 Tl 0.0000 0.5000 0.5000 1
Co1 Co 0.0000 0.0000 0.0000 1
Se1 Se 0.0000 0.0000 0.2630 1
Se2 Se 0.0175 0.5087 0.7307 1
```

Main lines, in order of rising 2θ (2θ = 15–90°):
(0 0 6), 22.13 deg, rel. 13
(2 0 2), 26.87 deg, rel. 18
(0 2 4), 29.84 deg, rel. 100
(2 0 8), 39.72 deg, rel. 38
(2 2 0), 45.52 deg, rel. 36
(0 2 10), 45.95 deg, rel. 11
(2 2 6), 51.18 deg, rel. 9
(4 0 4), 55.39 deg, rel. 17
(0 4 8), 61.97 deg, rel. 12
(2 2 12), 66.06 deg, rel. 13
(2 4 4), 74.42 deg, rel. 15
(4 2 8), 80.19 deg, rel. 10